1.
This entry pairs a crystal structure of Tb2HoSc with its theoretical powder diffraction line list. Radiation: Cu Kα. Structure: a DFT-relaxed cell (GGA-PBE, Alexandria).
Intensities are scaled so that the largest is 100.

Unit cell a=6.072 b=3.508 c=11.395 alpha=90.00 beta=100.23 gamma=90.00
Atoms (fractional coordinates):
Tb  0.000  0.000  0.000
Tb  0.159  0.000  0.481
Tb  0.500  0.500  0.000
Tb  0.659  0.500  0.481
Ho  0.080  0.500  0.740
Ho  0.580  0.000  0.740
Sc  0.246  0.500  0.239
Sc  0.746  0.000  0.239

Top 6 peaks for 10° ≤ 2θ ≤ 80°, by angle:
| two_theta | Rel. int. |
| --- | --- |
| 29.90 | 61 |
| 31.92 | 47 |
| 32.34 | 100 |
| 34.95 | 96 |
| 52.17 | 36 |
| 62.47 | 40 |

=====

2.
This entry pairs a crystal structure of Pa4Co12GeB3 with its theoretical powder diffraction line list. Radiation: Cu Kα. Structure: a DFT-relaxed cell (GGA-PBE, Alexandria).
Intensities are scaled so that the largest is 100.

Unit cell a=7.024 b=7.024 c=7.024 alpha=109.47 beta=109.47 gamma=109.47
Atoms (fractional coordinates):
Pa  0.000  0.000  0.500
Pa  0.000  0.500  0.000
Pa  0.500  0.000  0.000
Pa  0.500  0.500  0.500
Co  0.000  0.275  0.275
Co  0.000  0.725  0.725
Co  0.250  0.500  0.750
Co  0.250  0.750  0.500
Co  0.275  0.000  0.275
Co  0.275  0.275  0.000
Co  0.500  0.250  0.750
Co  0.500  0.750  0.250
Co  0.725  0.000  0.725
Co  0.725  0.725  0.000
Co  0.750  0.250  0.500
Co  0.750  0.500  0.250
Ge  0.000  0.000  0.000
B  0.000  0.500  0.500
B  0.500  0.000  0.500
B  0.500  0.500  0.000

Top 6 peaks for 10° ≤ 2θ ≤ 80°, by angle:
| two_theta | Rel. int. |
| --- | --- |
| 21.92 | 37 |
| 31.19 | 65 |
| 38.45 | 100 |
| 44.69 | 62 |
| 65.05 | 38 |
| 78.17 | 35 |

=====

3.
This entry pairs a crystal structure of Sc7Te2Pd2 with its theoretical powder diffraction line list. Radiation: Cu Kα. Structure: a DFT-relaxed cell (GGA-PBE, Alexandria).
Intensities are scaled so that the largest is 100.

Unit cell a=8.799 b=8.799 c=8.799 alpha=155.35 beta=67.74 gamma=118.03
Atoms (fractional coordinates):
Sc  0.000  0.000  0.000
Sc  0.287  0.416  0.871
Sc  0.312  0.629  0.683
Sc  0.545  0.416  0.129
Sc  0.623  0.266  0.356
Sc  0.910  0.266  0.644
Sc  0.946  0.629  0.317
Te  0.263  0.763  0.500
Te  0.664  0.664  0.000
Pd  0.171  0.936  0.236
Pd  0.700  0.936  0.764

Top 6 peaks for 10° ≤ 2θ ≤ 80°, by angle:
| two_theta | Rel. int. |
| --- | --- |
| 23.10 | 63 |
| 28.47 | 29 |
| 34.96 | 30 |
| 35.69 | 100 |
| 36.12 | 35 |
| 40.25 | 38 |

=====

4.
This entry pairs a crystal structure of Ce5Pu2Au4 with its theoretical powder diffraction line list. Radiation: Cu Kα. Structure: a DFT-relaxed cell (GGA-PBE, Alexandria).
Intensities are scaled so that the largest is 100.

Unit cell a=3.648 b=8.109 c=9.407 alpha=106.08 beta=98.40 gamma=91.31
Atoms (fractional coordinates):
Ce  0.000  0.000  0.000
Ce  0.082  0.444  0.192
Ce  0.118  0.899  0.365
Ce  0.882  0.101  0.635
Ce  0.918  0.556  0.808
Pu  0.214  0.378  0.574
Pu  0.786  0.622  0.426
Au  0.396  0.813  0.695
Au  0.474  0.280  0.908
Au  0.526  0.720  0.092
Au  0.604  0.187  0.305

Top 6 peaks for 10° ≤ 2θ ≤ 80°, by angle:
| two_theta | Rel. int. |
| --- | --- |
| 33.84 | 61 |
| 34.76 | 55 |
| 35.08 | 100 |
| 35.22 | 47 |
| 35.61 | 38 |
| 61.55 | 19 |

=====

Which formula does entry 3 have?
Sc7Te2Pd2

=====

Which formula does entry 3 have?
Sc7Te2Pd2